# 1
Structure and calculated X-ray powder pattern of Nd2Pd2O7 (a DFT-relaxed cell (GGA-PBE, Alexandria); Cu Kα (λ = 1.5418 Å)).
No peak broadening, texture or thermal motion is included.

Largest 6 diffraction maxima, in order of rising 2θ, 2θ = 15–90°:
29.48°, 3.030 Å, I 100.0; 34.17°, 2.624 Å, I 32.2; 49.10°, 1.855 Å, I 47.7; 58.32°, 1.582 Å, I 43.0; 79.64°, 1.204 Å, I 17.3; 82.14°, 1.173 Å, I 13.8

Crystal structure
a = 10.4952 Å, b = 10.4952 Å, c = 10.4952 Å
α = 90.00°, β = 90.00°, γ = 90.00°
Space group Fd-3m (No. 227, origin choice 2)
Unique sites:
Nd (0.0000, 0.0000, 0.0000) (multiplicity 16)
Pd (0.0000, 0.0000, 0.5000) (multiplicity 16)
O (0.0848, 0.3750, 0.8750) (multiplicity 48)
O (0.1250, 0.1250, 0.1250) (multiplicity 8)


# 2
Structure and calculated X-ray powder pattern of PrNd2PdO5 (a DFT-relaxed cell (GGA-PBE, Alexandria); Cu Kα (λ = 1.5418 Å)).
No peak broadening, texture or thermal motion is included.

Largest 6 diffraction maxima, in order of rising 2θ, 2θ = 15–90°:
29.85°, 2.993 Å, I 47.4; 30.77°, 2.906 Å, I 100.0; 33.66°, 2.663 Å, I 56.8; 38.29°, 2.351 Å, I 24.5; 42.87°, 2.109 Å, I 41.8; 53.56°, 1.711 Å, I 21.9

Crystal structure
```
data_PrNd2PdO5
_symmetry_space_group_name_H-M 'P 4/m b m'
_symmetry_Int_Tables_number 127
_symmetry_space_group_name_Hall '-P 4 2ab'
_cell_length_a 6.6483
_cell_length_b 6.6483
_cell_length_c 5.9864
_cell_angle_alpha 90.00
_cell_angle_beta 90.00
_cell_angle_gamma 90.00
loop_
_atom_site_label
_atom_site_fract_x
_atom_site_fract_y
_atom_site_fract_z
Pr1 0.0000 0.0000 0.0000
Nd1 0.1643 0.3357 0.5000
Pd1 0.0000 0.5000 0.0000
O1 0.0000 0.0000 0.5000
O2 0.1649 0.6649 0.2410
```


# 3
Structure and calculated X-ray powder pattern of NdPdSe2O8 (a DFT-relaxed cell (GGA-PBE, Alexandria); Cu Kα (λ = 1.5418 Å)).
No peak broadening, texture or thermal motion is included.

Largest 6 diffraction maxima, in order of rising 2θ, 2θ = 15–90°:
18.31°, 4.845 Å, I 66.3; 22.18°, 4.009 Å, I 67.4; 31.13°, 2.873 Å, I 100.0; 31.99°, 2.797 Å, I 94.0; 45.24°, 2.004 Å, I 53.7; 56.48°, 1.629 Å, I 38.5

Crystal structure
```
data_NdPdSe2O8
_symmetry_space_group_name_H-M 'P -3 m 1'
_symmetry_Int_Tables_number 164
_symmetry_space_group_name_Hall '-P 3 2"'
_cell_length_a 5.5949
_cell_length_b 5.5949
_cell_length_c 7.1362
_cell_angle_alpha 90.00
_cell_angle_beta 90.00
_cell_angle_gamma 120.00
loop_
_atom_site_label
_atom_site_fract_x
_atom_site_fract_y
_atom_site_fract_z
Nd1 0.0000 0.0000 0.0000
Pd1 0.0000 0.0000 0.5000
Se1 0.3333 0.6667 0.1961
O1 0.1658 0.3316 0.2673
O2 0.3333 0.6667 0.9610
```


# 4
Structure and calculated X-ray powder pattern of Pm2Nd4O (a DFT-relaxed cell (GGA-PBE, Alexandria); Cu Kα (λ = 1.5418 Å)).
No peak broadening, texture or thermal motion is included.

Largest 6 diffraction maxima, in order of rising 2θ, 2θ = 15–90°:
27.26°, 3.271 Å, I 59.7; 29.85°, 2.993 Å, I 31.1; 32.36°, 2.767 Å, I 100.0; 36.16°, 2.484 Å, I 55.9; 47.57°, 1.911 Å, I 34.1; 62.64°, 1.483 Å, I 36.2

Crystal structure
```
data_Pm2Nd4O
_symmetry_space_group_name_H-M 'I 4/m m m'
_symmetry_Int_Tables_number 139
_symmetry_space_group_name_Hall '-I 4 2'
_cell_length_a 4.9681
_cell_length_b 4.9681
_cell_length_c 17.9579
_cell_angle_alpha 90.00
_cell_angle_beta 90.00
_cell_angle_gamma 90.00
loop_
_atom_site_label
_atom_site_fract_x
_atom_site_fract_y
_atom_site_fract_z
Pm1 0.0000 0.0000 0.1619
Nd1 0.0000 0.0000 0.3626
Nd2 0.0000 0.5000 0.0000
O1 0.0000 0.0000 0.5000
```


# 5
Structure and calculated X-ray powder pattern of PmNdO3 (a DFT-relaxed cell (GGA-PBE, Alexandria); Cu Kα (λ = 1.5418 Å)).
No peak broadening, texture or thermal motion is included.

Largest 6 diffraction maxima, in order of rising 2θ, 2θ = 15–90°:
27.40°, 3.255 Å, I 100.0; 30.48°, 2.933 Å, I 92.8; 41.44°, 2.179 Å, I 38.7; 44.52°, 2.035 Å, I 46.2; 52.31°, 1.749 Å, I 37.8; 54.17°, 1.693 Å, I 26.5

Crystal structure
```
data_PmNdO3
_symmetry_space_group_name_H-M 'R 3 2'
_symmetry_Int_Tables_number 155
_symmetry_space_group_name_Hall 'R 3 2"'
_cell_length_a 5.8654
_cell_length_b 5.8654
_cell_length_c 16.9598
_cell_angle_alpha 90.00
_cell_angle_beta 90.00
_cell_angle_gamma 120.00
loop_
_atom_site_label
_atom_site_fract_x
_atom_site_fract_y
_atom_site_fract_z
Pm1 0.0000 0.0000 0.1461
Nd1 0.0000 0.0000 0.3553
O1 0.0036 0.2928 0.7503
```


# 6
Structure and calculated X-ray powder pattern of PmNdPuO6 (a DFT-relaxed cell (GGA-PBE, Alexandria); Cu Kα (λ = 1.5418 Å)).
No peak broadening, texture or thermal motion is included.

Largest 6 diffraction maxima, in order of rising 2θ, 2θ = 15–90°:
25.57°, 3.483 Å, I 100.0; 30.24°, 2.956 Å, I 65.3; 35.77°, 2.510 Å, I 21.4; 40.01°, 2.254 Å, I 30.7; 49.20°, 1.852 Å, I 48.6; 50.95°, 1.792 Å, I 30.8

Crystal structure
```
data_PmNdPuO6
_symmetry_space_group_name_H-M 'P -3 1 c'
_symmetry_Int_Tables_number 163
_symmetry_space_group_name_Hall '-P 3 2c'
_cell_length_a 5.9117
_cell_length_b 5.9117
_cell_length_c 9.5053
_cell_angle_alpha 90.00
_cell_angle_beta 90.00
_cell_angle_gamma 120.00
loop_
_atom_site_label
_atom_site_fract_x
_atom_site_fract_y
_atom_site_fract_z
Pm1 0.0000 0.0000 0.0000
Nd1 0.3333 0.6667 0.2500
Pu1 0.3333 0.6667 0.7500
O1 0.0381 0.3653 0.6336
```